Structure and simulated powder diffraction line list of CsLaMg6O8 (the GGA-PBE geometry in the Materials Project; copper Kα).
No peak broadening, texture or thermal motion is included.

Top 8 peaks for 2θ = 10–90°, by angle:
- 2θ = 19.18°, I 46
- 2θ = 25.97°, I 39
- 2θ = 27.73°, I 70
- 2θ = 32.49°, I 75
- 2θ = 37.06°, I 100
- 2θ = 38.92°, I 35
- 2θ = 53.42°, I 32
- 2θ = 54.83°, I 48

Structural model:
```
data_CsLaMg6O8
_chemical_formula_sum 'Cs1 La1 Mg6 O8'
_symmetry_space_group_name_H-M 'P 4/m m m'
_symmetry_Int_Tables_number 123
_symmetry_space_group_name_Hall '-P 4 2'
_cell_length_a 4.851
_cell_length_b 4.851
_cell_length_c 9.257
_cell_angle_alpha 90.00
_cell_angle_beta 90.00
_cell_angle_gamma 90.00
loop_
_atom_site_label
_atom_site_fract_x
_atom_site_fract_y
_atom_site_fract_z
_atom_site_occupancy
Cs1 0.000 0.000 0.000 1
La1 0.500 0.500 0.000 1
Mg1 0.000 0.000 0.500 1
Mg2 0.000 0.500 0.283 1
Mg3 0.500 0.500 0.500 1
O1 0.000 0.000 0.292 1
O2 0.000 0.500 0.000 1
O3 0.000 0.500 0.500 1
O4 0.500 0.500 0.273 1
```